Structure and calculated XRD peak list of VPO7 (a cell relaxed with PBE+U; Cu Kα (λ = 1.5418 Å)).
Neutral-atom scattering factors, no anomalous dispersion.

The 12 most intense peaks (2θ from 10° to 80°), in order of falling intensity:
| Position (°2θ) | I_rel |
| --- | --- |
| 11.92 | 100 |
| 28.49 | 42 |
| 18.53 | 20 |
| 30.98 | 12 |
| 37.57 | 10 |
| 23.98 | 9 |
| 39.14 | 8 |
| 69.39 | 6 |
| 58.97 | 6 |
| 47.82 | 5 |
| 27.94 | 5 |
| 40.73 | 5 |

```
VPO7
1.0
6.265 0.000 0.000
0.000 6.265 0.000
0.000 0.000 7.423
V P O
2 2 14
Direct
0.250 0.250 0.083 V
0.750 0.750 0.917 V
0.250 0.750 0.000 P
0.750 0.250 0.000 P
0.054 0.750 0.873 O
0.250 0.250 0.392 O
0.250 0.250 0.867 O
0.250 0.554 0.127 O
0.250 0.750 0.500 O
0.250 0.946 0.127 O
0.446 0.750 0.873 O
0.554 0.250 0.127 O
0.750 0.054 0.873 O
0.750 0.250 0.500 O
0.750 0.446 0.873 O
0.750 0.750 0.133 O
0.750 0.750 0.608 O
0.946 0.250 0.127 O
```